1.
Starting from DFT lattice parameters and positions (PBE), the powder diffraction line list of ReIr was calculated for Cu Kα.
Intensities are scaled so that the largest is 1000.

Structure:
```
data_ReIr
_chemical_formula_sum 'Re1 Ir1'
_cell_length_a 2.776
_cell_length_b 2.776
_cell_length_c 4.409
_cell_angle_alpha 90.00
_cell_angle_beta 90.00
_cell_angle_gamma 120.00
_symmetry_space_group_name_H-M 'P 1'
_symmetry_Int_Tables_number 1
loop_
_symmetry_equiv_pos_as_xyz
'x,y,z'
loop_
_atom_site_label
_atom_site_fract_x
_atom_site_fract_y
_atom_site_fract_z
Re1 0.000 0.000 0.000
Ir1 0.333 0.667 0.500
```

Principal peaks in the range 10° ≤ 2θ ≤ 80°, by angle:
- 37.41°, I = 242
- 40.94°, I = 252
- 42.85°, I = 1000
- 56.65°, I = 148
- 67.49°, I = 176
- 75.88°, I = 190
- 79.79°, I = 28


2.
Starting from DFT lattice parameters and positions (PBE), the powder diffraction line list of Li2Sn5P4O16 was calculated for Cu Kα.
Intensities are scaled so that the largest is 1000.

Structure:
```
data_Li2Sn5P4O16
_chemical_formula_sum 'Li2 Sn5 P4 O16'
_cell_length_a 5.179
_cell_length_b 9.656
_cell_length_c 9.724
_cell_angle_alpha 115.57
_cell_angle_beta 101.97
_cell_angle_gamma 99.88
_symmetry_space_group_name_H-M 'P 1'
_symmetry_Int_Tables_number 1
loop_
_symmetry_equiv_pos_as_xyz
'x,y,z'
loop_
_atom_site_label
_atom_site_fract_x
_atom_site_fract_y
_atom_site_fract_z
Li1 0.133 0.176 0.254
Li2 0.867 0.824 0.746
Sn1 0.271 0.547 0.769
Sn2 0.475 0.195 0.668
Sn3 0.500 0.000 0.000
Sn4 0.525 0.805 0.332
Sn5 0.729 0.453 0.231
P1 0.054 0.225 0.950
P2 0.284 0.750 0.562
P3 0.716 0.250 0.438
P4 0.946 0.775 0.050
O1 0.009 0.260 0.431
O2 0.083 0.053 0.884
O3 0.107 0.754 0.923
O4 0.108 0.750 0.186
O5 0.299 0.617 0.405
O6 0.341 0.351 0.032
O7 0.440 0.911 0.569
O8 0.464 0.750 0.718
O9 0.536 0.250 0.282
O10 0.560 0.089 0.431
O11 0.659 0.649 0.968
O12 0.701 0.383 0.595
O13 0.892 0.250 0.814
O14 0.893 0.246 0.077
O15 0.917 0.947 0.116
O16 0.991 0.740 0.569
```

Principal peaks in the range 10° ≤ 2θ ≤ 80°, by angle:
- 18.32°, I = 1000
- 18.66°, I = 795
- 24.02°, I = 456
- 27.90°, I = 626
- 28.26°, I = 868
- 28.57°, I = 449
- 28.78°, I = 939
- 29.99°, I = 577
- 30.55°, I = 475
- 42.42°, I = 309


3.
Starting from DFT lattice parameters and positions (PBE), the powder diffraction line list of Li8Ag5 was calculated for Cu Kα.
Intensities are scaled so that the largest is 1000.

Structure:
```
data_Li8Ag5
_chemical_formula_sum 'Li16 Ag10'
_cell_length_a 8.328
_cell_length_b 8.328
_cell_length_c 8.328
_cell_angle_alpha 109.47
_cell_angle_beta 109.47
_cell_angle_gamma 109.47
_symmetry_space_group_name_H-M 'P 1'
_symmetry_Int_Tables_number 1
loop_
_symmetry_equiv_pos_as_xyz
'x,y,z'
loop_
_atom_site_label
_atom_site_fract_x
_atom_site_fract_y
_atom_site_fract_z
Li1 0.000 0.000 0.230
Li2 0.000 0.230 0.000
Li3 0.000 0.348 0.717
Li4 0.000 0.717 0.348
Li5 0.230 0.000 0.000
Li6 0.283 0.283 0.631
Li7 0.283 0.631 0.283
Li8 0.348 0.000 0.717
Li9 0.348 0.717 0.000
Li10 0.369 0.652 0.652
Li11 0.631 0.283 0.283
Li12 0.652 0.369 0.652
Li13 0.652 0.652 0.369
Li14 0.717 0.000 0.348
Li15 0.717 0.348 0.000
Li16 0.770 0.770 0.770
Ag1 0.000 0.000 0.656
Ag2 0.000 0.353 0.353
Ag3 0.000 0.647 0.647
Ag4 0.000 0.656 0.000
Ag5 0.344 0.344 0.344
Ag6 0.353 0.000 0.353
Ag7 0.353 0.353 0.000
Ag8 0.647 0.000 0.647
Ag9 0.647 0.647 0.000
Ag10 0.656 0.000 0.000
```

Principal peaks in the range 10° ≤ 2θ ≤ 80°, by angle:
- 22.65°, I = 928
- 26.21°, I = 78
- 32.25°, I = 61
- 39.77°, I = 1000
- 46.25°, I = 130
- 52.09°, I = 90
- 57.50°, I = 196
- 59.23°, I = 60
- 62.61°, I = 89
- 72.19°, I = 274


4.
Starting from DFT lattice parameters and positions (PBE), the powder diffraction line list of Ta2CrB2 was calculated for Cu Kα.
Intensities are scaled so that the largest is 1000.

Structure:
```
data_Ta2CrB2
_chemical_formula_sum 'Ta4 Cr2 B4'
_cell_length_a 5.928
_cell_length_b 5.928
_cell_length_c 3.251
_cell_angle_alpha 90.00
_cell_angle_beta 90.00
_cell_angle_gamma 90.00
_symmetry_space_group_name_H-M 'P 1'
_symmetry_Int_Tables_number 1
loop_
_symmetry_equiv_pos_as_xyz
'x,y,z'
loop_
_atom_site_label
_atom_site_fract_x
_atom_site_fract_y
_atom_site_fract_z
Ta1 0.180 0.320 0.000
Ta2 0.320 0.820 0.000
Ta3 0.680 0.180 0.000
Ta4 0.820 0.680 0.000
Cr1 0.000 0.000 0.500
Cr2 0.500 0.500 0.500
B1 0.113 0.613 0.500
B2 0.387 0.113 0.500
B3 0.613 0.887 0.500
B4 0.887 0.387 0.500
```

Principal peaks in the range 10° ≤ 2θ ≤ 80°, by angle:
- 27.43°, I = 533
- 30.15°, I = 299
- 33.81°, I = 881
- 41.21°, I = 720
- 44.07°, I = 1000
- 48.56°, I = 237
- 64.84°, I = 245
- 67.59°, I = 246
- 71.78°, I = 353
- 73.80°, I = 298


5.
Starting from DFT lattice parameters and positions (PBE), the powder diffraction line list of KZr6CI14 was calculated for Cu Kα.
Intensities are scaled so that the largest is 1000.

Structure:
```
data_KZr6CI14
_chemical_formula_sum 'K2 Zr12 C2 I28'
_cell_length_a 11.007
_cell_length_b 11.007
_cell_length_c 13.054
_cell_angle_alpha 90.00
_cell_angle_beta 90.00
_cell_angle_gamma 85.54
_symmetry_space_group_name_H-M 'P 1'
_symmetry_Int_Tables_number 1
loop_
_symmetry_equiv_pos_as_xyz
'x,y,z'
loop_
_atom_site_label
_atom_site_fract_x
_atom_site_fract_y
_atom_site_fract_z
K1 0.000 0.000 0.000
K2 0.500 0.500 0.500
Zr1 0.042 0.165 0.606
Zr2 0.127 0.873 0.594
Zr3 0.165 0.042 0.394
Zr4 0.335 0.458 0.894
Zr5 0.373 0.627 0.094
Zr6 0.458 0.335 0.106
Zr7 0.542 0.665 0.894
Zr8 0.627 0.373 0.906
Zr9 0.665 0.542 0.106
Zr10 0.835 0.958 0.606
Zr11 0.873 0.127 0.406
Zr12 0.958 0.835 0.394
C1 0.000 0.000 0.500
C2 0.500 0.500 0.000
I1 0.036 0.210 0.251
I2 0.103 0.397 0.750
I3 0.112 0.641 0.493
I4 0.141 0.612 0.993
I5 0.150 0.850 0.238
I6 0.210 0.036 0.749
I7 0.249 0.249 0.500
I8 0.251 0.251 0.000
I9 0.290 0.464 0.249
I10 0.350 0.650 0.738
I11 0.359 0.888 0.493
I12 0.388 0.859 0.993
I13 0.397 0.103 0.250
I14 0.464 0.290 0.751
I15 0.536 0.710 0.249
I16 0.603 0.897 0.750
I17 0.612 0.141 0.007
I18 0.641 0.112 0.507
I19 0.650 0.350 0.262
I20 0.710 0.536 0.751
I21 0.749 0.749 0.000
I22 0.751 0.751 0.500
I23 0.790 0.964 0.251
I24 0.850 0.150 0.762
I25 0.859 0.388 0.007
I26 0.888 0.359 0.507
I27 0.897 0.603 0.250
I28 0.964 0.790 0.749
```

Principal peaks in the range 10° ≤ 2θ ≤ 80°, by angle:
- 10.53°, I = 859
- 25.98°, I = 487
- 27.33°, I = 392
- 27.50°, I = 875
- 28.60°, I = 1000
- 31.54°, I = 377
- 32.53°, I = 983
- 42.63°, I = 482
- 49.10°, I = 294
- 51.38°, I = 300


6.
Starting from DFT lattice parameters and positions (PBE), the powder diffraction line list of TeMoWSeS2 was calculated for Cu Kα.
Intensities are scaled so that the largest is 1000.

Structure:
```
data_TeMoWSeS2
_chemical_formula_sum 'Te2 Mo2 W2 Se2 S4'
_cell_length_a 3.306
_cell_length_b 3.306
_cell_length_c 39.148
_cell_angle_alpha 90.00
_cell_angle_beta 90.00
_cell_angle_gamma 120.00
_symmetry_space_group_name_H-M 'P 1'
_symmetry_Int_Tables_number 1
loop_
_symmetry_equiv_pos_as_xyz
'x,y,z'
loop_
_atom_site_label
_atom_site_fract_x
_atom_site_fract_y
_atom_site_fract_z
Te1 0.000 0.000 0.000
Te2 0.000 0.000 0.098
Mo1 0.667 0.333 0.049
Mo2 0.667 0.333 0.674
W1 0.000 0.000 0.239
W2 0.000 0.000 0.861
Se1 0.667 0.333 0.195
Se2 0.667 0.333 0.282
S1 0.000 0.000 0.635
S2 0.000 0.000 0.713
S3 0.667 0.333 0.822
S4 0.667 0.333 0.900
```

Principal peaks in the range 10° ≤ 2θ ≤ 80°, by angle:
- 11.30°, I = 1000
- 13.57°, I = 163
- 31.27°, I = 403
- 33.32°, I = 136
- 36.35°, I = 631
- 37.61°, I = 122
- 43.62°, I = 411
- 45.33°, I = 123
- 55.61°, I = 235
- 56.94°, I = 121


7.
Starting from DFT lattice parameters and positions (PBE), the powder diffraction line list of Ho2AlZn was calculated for Cu Kα.
Intensities are scaled so that the largest is 1000.

Structure:
```
data_Ho2AlZn
_chemical_formula_sum 'Ho2 Al1 Zn1'
_cell_length_a 5.062
_cell_length_b 5.062
_cell_length_c 5.062
_cell_angle_alpha 60.00
_cell_angle_beta 60.00
_cell_angle_gamma 60.00
_symmetry_space_group_name_H-M 'P 1'
_symmetry_Int_Tables_number 1
loop_
_symmetry_equiv_pos_as_xyz
'x,y,z'
loop_
_atom_site_label
_atom_site_fract_x
_atom_site_fract_y
_atom_site_fract_z
Ho1 0.250 0.250 0.250
Ho2 0.750 0.750 0.750
Al1 0.000 0.000 0.000
Zn1 0.500 0.500 0.500
```

Principal peaks in the range 10° ≤ 2θ ≤ 80°, by angle:
- 21.50°, I = 25
- 24.87°, I = 352
- 35.46°, I = 1000
- 41.85°, I = 14
- 43.80°, I = 107
- 51.03°, I = 177
- 55.99°, I = 6
- 57.57°, I = 146
- 63.68°, I = 361
- 75.05°, I = 111


8.
Starting from DFT lattice parameters and positions (PBE), the powder diffraction line list of CePr3Fe34 was calculated for Cu Kα.
Intensities are scaled so that the largest is 1000.

Structure:
```
data_CePr3Fe34
_chemical_formula_sum 'Ce1 Pr3 Fe34'
_cell_length_a 6.475
_cell_length_b 6.475
_cell_length_c 12.944
_cell_angle_alpha 97.01
_cell_angle_beta 97.01
_cell_angle_gamma 83.00
_symmetry_space_group_name_H-M 'P 1'
_symmetry_Int_Tables_number 1
loop_
_symmetry_equiv_pos_as_xyz
'x,y,z'
loop_
_atom_site_label
_atom_site_fract_x
_atom_site_fract_y
_atom_site_fract_z
Ce1 0.000 0.000 0.000
Pr1 0.314 0.314 0.843
Pr2 0.315 0.315 0.342
Pr3 0.999 0.999 0.500
Fe1 0.157 0.656 0.171
Fe2 0.157 0.657 0.672
Fe3 0.314 0.314 0.094
Fe4 0.315 0.812 0.843
Fe5 0.316 0.316 0.595
Fe6 0.316 0.810 0.342
Fe7 0.367 0.946 0.171
Fe8 0.368 0.658 0.027
Fe9 0.369 0.657 0.527
Fe10 0.370 0.945 0.672
Fe11 0.503 0.999 0.001
Fe12 0.504 0.998 0.501
Fe13 0.561 0.561 0.219
Fe14 0.561 0.561 0.720
Fe15 0.656 0.157 0.171
Fe16 0.657 0.157 0.672
Fe17 0.657 0.369 0.527
Fe18 0.657 0.657 0.421
Fe19 0.657 0.657 0.922
Fe20 0.657 0.945 0.315
Fe21 0.658 0.368 0.027
Fe22 0.659 0.946 0.817
Fe23 0.753 0.753 0.623
Fe24 0.754 0.754 0.123
Fe25 0.810 0.316 0.342
Fe26 0.812 0.315 0.843
Fe27 0.945 0.370 0.672
Fe28 0.945 0.657 0.315
Fe29 0.946 0.367 0.171
Fe30 0.946 0.659 0.817
Fe31 0.998 0.504 0.501
Fe32 0.998 0.998 0.247
Fe33 0.999 0.503 0.001
Fe34 0.999 0.999 0.749
```

Principal peaks in the range 10° ≤ 2θ ≤ 80°, by angle:
- 29.89°, I = 372
- 36.27°, I = 400
- 37.60°, I = 285
- 42.13°, I = 650
- 42.46°, I = 1000
- 43.31°, I = 183
- 43.41°, I = 333
- 47.68°, I = 238
- 62.05°, I = 222
- 79.01°, I = 170


9.
Starting from DFT lattice parameters and positions (PBE), the powder diffraction line list of Ba2LiTmCu3O7 was calculated for Cu Kα.
Intensities are scaled so that the largest is 1000.

Structure:
```
data_Ba2LiTmCu3O7
_chemical_formula_sum 'Ba2 Li1 Tm1 Cu3 O7'
_cell_length_a 3.775
_cell_length_b 4.006
_cell_length_c 12.586
_cell_angle_alpha 90.00
_cell_angle_beta 90.00
_cell_angle_gamma 90.00
_symmetry_space_group_name_H-M 'P 1'
_symmetry_Int_Tables_number 1
loop_
_symmetry_equiv_pos_as_xyz
'x,y,z'
loop_
_atom_site_label
_atom_site_fract_x
_atom_site_fract_y
_atom_site_fract_z
Ba1 0.000 0.000 0.000
Ba2 0.000 0.000 0.422
Li1 0.000 0.500 0.266
Tm1 0.000 0.000 0.706
Cu1 0.500 0.500 0.163
Cu2 0.500 0.500 0.585
Cu3 0.500 0.500 0.828
O1 0.000 0.500 0.572
O2 0.000 0.500 0.797
O3 0.500 0.000 0.169
O4 0.500 0.000 0.586
O5 0.500 0.000 0.811
O6 0.500 0.500 0.015
O7 0.500 0.500 0.323
```

Principal peaks in the range 10° ≤ 2θ ≤ 80°, by angle:
- 30.86°, I = 676
- 31.89°, I = 693
- 32.59°, I = 1000
- 36.31°, I = 424
- 37.20°, I = 389
- 39.20°, I = 273
- 45.27°, I = 329
- 48.22°, I = 270
- 56.44°, I = 269
- 61.65°, I = 259